# 1
This entry pairs a crystal structure of Th5Sn3 with its calculated powder diffractogram. Radiation: Cu Kα, 1.54184 Å. Structure: a crystal structure in the Materials Project, relaxed with PBE.
No peak broadening, texture or thermal motion is included.

Principal peaks in the range 2θ from 10° to 90°, low angle first:
- 28.90°, I = 39, hkl 2 1 0
- 32.11°, I = 100, hkl 2 1 1
- 32.87°, I = 60, hkl 3 0 0
- 33.62°, I = 92, hkl 1 1 2
- 47.73°, I = 27, hkl 2 2 2
- 51.74°, I = 27, hkl 2 1 3

Structural model:
```
data_Th5Sn3
_cell_length_a 9.4381
_cell_length_b 9.4381
_cell_length_c 6.4614
_cell_angle_alpha 90.00
_cell_angle_beta 90.00
_cell_angle_gamma 120.00
_space_group_name_H-M_alt 'P 63/m c m'
_space_group_IT_number 193
_space_group_name_Hall '-P 6c 2'
loop_
_atom_site_label
_atom_site_fract_x
_atom_site_fract_y
_atom_site_fract_z
Th1 0.0000 0.2526 0.2500
Th2 0.3333 0.6667 0.0000
Sn1 0.0000 0.3887 0.7500
```

# 2
This entry pairs a crystal structure of TmSi3Ni5 with its calculated powder diffractogram. Radiation: Cu Kα, 1.54184 Å. Structure: a crystal structure in the Materials Project, relaxed with PBE.
No peak broadening, texture or thermal motion is included.

Principal peaks in the range 2θ from 10° to 90°, low angle first:
- 36.27°, I = 19, hkl 5 0 2
- 36.46°, I = 17, hkl 7 0 1
- 37.70°, I = 29, hkl 6 1 0
- 39.04°, I = 100, hkl 3 1 2
- 48.61°, I = 28, hkl 0 2 0
- 55.26°, I = 15, hkl 0 0 4

Structural model:
```
data_TmSi3Ni5
_cell_length_a 18.573
_cell_length_b 3.746
_cell_length_c 6.647
_cell_angle_alpha 90.00
_cell_angle_beta 90.00
_cell_angle_gamma 90.00
_space_group_name_H-M_alt 'P n m a'
_space_group_IT_number 62
loop_
_space_group_symop_operation_xyz
'x,y,z'
'-x,-y,-z'
'-x+1/2,-y,z+1/2'
'x+1/2,y,-z+1/2'
'x+1/2,-y+1/2,-z+1/2'
'-x+1/2,y+1/2,z+1/2'
'-x,y+1/2,-z'
'x,-y+1/2,z'
loop_
_atom_site_label
_atom_site_fract_x
_atom_site_fract_y
_atom_site_fract_z
Tm1 0.144 0.250 0.123
Si1 0.075 0.750 0.848
Si2 0.085 0.750 0.412
Si3 0.238 0.250 0.622
Ni1 0.005 0.750 0.132
Ni2 0.014 0.250 0.382
Ni3 0.114 0.250 0.642
Ni4 0.200 0.750 0.817
Ni5 0.206 0.750 0.430
```

# 3
This entry pairs a crystal structure of Sr3Ru2O7 with its calculated powder diffractogram. Radiation: Cu Kα, 1.54184 Å. Structure: a crystal structure in the Materials Project, relaxed with PBE.
No peak broadening, texture or thermal motion is included.

Principal peaks in the range 2θ from 10° to 90°, low angle first:
- 31.29°, I = 100, hkl 1 0 5
- 31.68°, I = 63, hkl 1 1 0
- 45.42°, I = 37, hkl 2 0 0
- 55.43°, I = 17, hkl 1 1 10
- 56.18°, I = 39, hkl 2 1 5
- 65.27°, I = 17, hkl 2 0 10

Structural model:
```
data_Sr3Ru2O7
_cell_length_a 3.994
_cell_length_b 3.994
_cell_length_c 20.473
_cell_angle_alpha 90.00
_cell_angle_beta 90.00
_cell_angle_gamma 90.00
_space_group_name_H-M_alt 'I 4/m m m'
_space_group_IT_number 139
_space_group_name_Hall '-I 4 2'
loop_
_atom_site_label
_atom_site_fract_x
_atom_site_fract_y
_atom_site_fract_z
Sr1 0.000 0.000 0.000
Sr2 0.000 0.000 0.184
Ru1 0.000 0.000 0.402
O1 0.000 0.000 0.304
O2 0.000 0.000 0.500
O3 0.000 0.500 0.097
```

# 4
This entry pairs a crystal structure of Th2BiN2 with its calculated powder diffractogram. Radiation: Cu Kα, 1.54184 Å. Structure: a crystal structure in the Materials Project, relaxed with PBE.
No peak broadening, texture or thermal motion is included.

Principal peaks in the range 2θ from 10° to 90°, low angle first:
- 28.92°, I = 100, hkl 1 0 3
- 30.99°, I = 38, hkl 1 1 0
- 44.40°, I = 17, hkl 2 0 0
- 49.93°, I = 25, hkl 1 1 6
- 53.86°, I = 37, hkl 2 1 3
- 59.93°, I = 13, hkl 2 0 6

Structural model:
```
data_Th2BiN2
_cell_length_a 4.081
_cell_length_b 4.081
_cell_length_c 14.158
_cell_angle_alpha 90.00
_cell_angle_beta 90.00
_cell_angle_gamma 90.00
_space_group_name_H-M_alt 'I 4/m m m'
_space_group_IT_number 139
_space_group_name_Hall '-I 4 2'
loop_
_atom_site_label
_atom_site_fract_x
_atom_site_fract_y
_atom_site_fract_z
Th1 0.000 0.000 0.169
Bi1 0.000 0.000 0.500
N1 0.000 0.500 0.250
```

# 5
This entry pairs a crystal structure of EuTi4SnO12 with its calculated powder diffractogram. Radiation: Cu Kα, 1.54184 Å. Structure: a crystal structure in the Materials Project, relaxed with PBE.
No peak broadening, texture or thermal motion is included.

Principal peaks in the range 2θ from 10° to 90°, low angle first:
- 20.05°, I = 100, hkl 1 1 1
- 32.91°, I = 57, hkl 2 2 0
- 33.29°, I = 29, hkl 0 2 2
- 39.17°, I = 31, hkl 1 3 1
- 47.80°, I = 20, hkl 0 4 0
- 59.25°, I = 26, hkl 2 4 2

Structural model:
```
data_EuTi4SnO12
_cell_length_a 7.788
_cell_length_b 7.613
_cell_length_c 7.610
_cell_angle_alpha 90.00
_cell_angle_beta 90.00
_cell_angle_gamma 90.00
_space_group_name_H-M_alt 'A m m 2'
_space_group_IT_number 38
loop_
_space_group_symop_operation_xyz
'x,y,z'
'-x,-y,z'
'-x,y,z'
'x,-y,z'
'x,y+1/2,z+1/2'
'-x,-y+1/2,z+1/2'
'-x,y+1/2,z+1/2'
'x,-y+1/2,z+1/2'
loop_
_atom_site_label
_atom_site_fract_x
_atom_site_fract_y
_atom_site_fract_z
Eu1 0.000 0.000 0.000
Ti1 0.247 0.250 0.263
Sn1 0.500 0.000 0.530
O1 0.000 0.207 0.260
O2 0.215 0.000 0.739
O3 0.234 0.203 0.014
O4 0.319 0.000 0.335
O5 0.500 0.198 0.709
```

# 6
This entry pairs a crystal structure of CaAgF5 with its calculated powder diffractogram. Radiation: Cu Kα, 1.54184 Å. Structure: a crystal structure in the Materials Project, relaxed with PBE.
No peak broadening, texture or thermal motion is included.

Principal peaks in the range 2θ from 10° to 90°, low angle first:
- 16.82°, I = 57, hkl 0 1 -1
- 20.95°, I = 100, hkl 1 -1 1
- 24.18°, I = 36, hkl -1 1 1
- 25.22°, I = 55, hkl 0 1 1
- 25.80°, I = 51, hkl 1 0 -2
- 26.50°, I = 50, hkl 1 1 -1

Structural model:
```
data_CaAgF5
_cell_length_a 5.751
_cell_length_b 5.817
_cell_length_c 8.121
_cell_angle_alpha 110.45
_cell_angle_beta 96.32
_cell_angle_gamma 108.87
_space_group_name_H-M_alt 'P 1'
_space_group_IT_number 1
loop_
_space_group_symop_operation_xyz
'x,y,z'
loop_
_atom_site_label
_atom_site_fract_x
_atom_site_fract_y
_atom_site_fract_z
Ca1 0.000 0.000 0.000
Ca2 0.084 0.579 0.496
Ag1 0.542 0.788 0.247
Ag2 0.543 0.290 0.748
F1 0.221 0.014 0.773
F2 0.236 0.439 0.219
F3 0.281 0.883 0.121
F4 0.330 0.425 0.626
F5 0.442 0.930 0.490
F6 0.642 0.647 0.006
F7 0.760 0.160 0.869
F8 0.802 0.695 0.373
F9 0.846 0.142 0.277
F10 0.867 0.570 0.725
```